Simulated PXRD pattern
Compound: AlCu3Se6
Radiation: Cu Kα X-rays
Structure: DFT lattice parameters and positions (PBE)
Peak positions follow from Bragg's law for the DFT cell and can differ from measured ones.

Principal peaks in the range 2θ = 10–90°, in order of rising 2θ:
| 2theta | Rel. int. |
| --- | --- |
| 18.7 | 9 |
| 29.2 | 100 |
| 30.8 | 7 |
| 33.6 | 6 |
| 38.7 | 10 |
| 48.2 | 21 |
| 48.9 | 38 |
| 57.4 | 25 |
| 58.7 | 12 |
| 70.5 | 6 |
| 78.1 | 5 |
| 79.2 | 8 |

abc: 16.029 16.029 16.029
angles: 160.82 160.82 27.26
Positions (direct):
Al1 0.000 0.000 0.000
Al2 0.750 0.250 0.500
Cu1 0.166 0.166 0.000
Cu2 0.250 0.750 0.500
Cu3 0.500 0.500 0.000
Cu4 0.584 0.084 0.500
Cu5 0.834 0.834 0.000
Cu6 0.916 0.416 0.500
Se1 0.076 0.072 0.554
Se2 0.139 0.625 0.014
Se3 0.232 0.178 0.504
Se4 0.272 0.768 0.946
Se5 0.375 0.389 0.514
Se6 0.478 0.924 0.996
Se7 0.518 0.522 0.446
Se8 0.611 0.125 0.986
Se9 0.674 0.728 0.496
Se10 0.822 0.326 0.054
Se11 0.875 0.861 0.486
Se12 0.928 0.482 0.004